# Ba2ZnCr2CuF14
Calculated X-ray powder pattern, Cu Kα. Input: a DFT-relaxed cell (GGA+U, Alexandria).
Peak positions follow from Bragg's law for the DFT cell and can differ from measured ones.

Structure:
Cell lengths 7.6165, 7.6165, 14.7595 Å; angles 91.37, 91.37, 40.37 degrees
Positions (direct):
Ba (0.1085, 0.2599, 0.1216)
Ba (0.2599, 0.1085, 0.6216)
Ba (0.7401, 0.8915, 0.3784)
Ba (0.8915, 0.7401, 0.8784)
Zn (0.4417, 0.5583, 0.2500)
Zn (0.5583, 0.4417, 0.7500)
Cr (0.1025, 0.1375, 0.3728)
Cr (0.1375, 0.1025, 0.8728)
Cr (0.8625, 0.8975, 0.1272)
Cr (0.8975, 0.8625, 0.6272)
Cu (0.5000, 0.5000, 0.0000)
Cu (0.5000, 0.5000, 0.5000)
F (0.0115, 0.6442, 0.2239)
F (0.1123, 0.8826, 0.3372)
F (0.1174, 0.8877, 0.1628)
F (0.1196, 0.7276, 0.5180)
F (0.1323, 0.3594, 0.4064)
F (0.1323, 0.5852, 0.0475)
F (0.2014, 0.5836, 0.7109)
F (0.2724, 0.8804, 0.9820)
F (0.3558, 0.9885, 0.2761)
F (0.3594, 0.1323, 0.9064)
F (0.3845, 0.5115, 0.8806)
F (0.4148, 0.8677, 0.4525)
F (0.4164, 0.7986, 0.7891)
F (0.4885, 0.6155, 0.6194)
F (0.5115, 0.3845, 0.3806)
F (0.5836, 0.2014, 0.2109)
F (0.5852, 0.1323, 0.5475)
F (0.6155, 0.4885, 0.1194)
F (0.6406, 0.8677, 0.0936)
F (0.6442, 0.0115, 0.7239)
F (0.7276, 0.1196, 0.0180)
F (0.7986, 0.4164, 0.2891)
F (0.8677, 0.4148, 0.9525)
F (0.8677, 0.6406, 0.5936)
F (0.8804, 0.2724, 0.4820)
F (0.8826, 0.1123, 0.8372)
F (0.8877, 0.1174, 0.6628)
F (0.9885, 0.3558, 0.7761)

The 10 most intense peaks (15 to 90 degrees two-theta), by angle:
2theta  Rel. int.
24.1  15
25.2  100
26.9  24
27.5  27
27.8  12
30.1  28
30.4  28
41.1  22
43.1  20
55.8  14